Diffraction record for Nd3Ru. The X-ray powder pattern is theoretical, not measured: it uses a PBE-relaxed structure and Cu Kα X-rays.
Kinematic intensities with the Lorentz-polarization factor, no thermal factor.

Top 12 peaks for 10° ≤ 2θ ≤ 90°, in order of falling intensity:
| d/Å | I (rel.) |
| --- | --- |
| 2.715 | 100 |
| 2.830 | 34 |
| 3.060 | 29 |
| 1.611 | 17 |
| 1.250 | 16 |
| 1.570 | 12 |
| 1.565 | 11 |
| 1.878 | 11 |
| 2.729 | 10 |
| 2.613 | 9 |
| 3.551 | 9 |
| 2.213 | 9 |

Structural model:
```
Nd3Ru
1.0
3.755 0.000 0.000
0.000 10.914 0.000
0.000 0.000 5.660
Nd Ru
6 2
direct
0.000 0.000 0.000 Nd
0.000 0.194 0.497 Nd
0.000 0.806 0.497 Nd
0.500 0.306 0.997 Nd
0.500 0.500 0.500 Nd
0.500 0.694 0.997 Nd
0.000 0.500 0.937 Ru
0.500 0.000 0.437 Ru
```

Diffraction record for NdSb12Ru4. The X-ray powder pattern is theoretical, not measured: it uses a PBE-relaxed structure and Cu Kα X-rays.
Kinematic intensities with the Lorentz-polarization factor, no thermal factor.

Top 12 peaks for 10° ≤ 2θ ≤ 90°, in order of falling intensity:
| d/Å | I (rel.) |
| --- | --- |
| 2.967 | 100 |
| 2.508 | 46 |
| 1.915 | 32 |
| 1.840 | 28 |
| 2.098 | 22 |
| 1.384 | 18 |
| 1.106 | 16 |
| 1.609 | 13 |
| 1.091 | 10 |
| 1.232 | 9 |
| 1.564 | 7 |
| 1.192 | 7 |

Structural model:
```
NdSb12Ru4
1.0
-4.692 4.692 4.692
4.692 -4.692 4.692
4.692 4.692 -4.692
Nd Sb Ru
1 12 4
direct
0.000 0.000 0.000 Nd
0.158 0.498 0.340 Sb
0.158 0.818 0.660 Sb
0.182 0.340 0.842 Sb
0.340 0.158 0.498 Sb
0.340 0.842 0.182 Sb
0.498 0.340 0.158 Sb
0.502 0.660 0.842 Sb
0.660 0.158 0.818 Sb
0.660 0.842 0.502 Sb
0.818 0.660 0.158 Sb
0.842 0.182 0.340 Sb
0.842 0.502 0.660 Sb
0.000 0.000 0.500 Ru
0.000 0.500 0.000 Ru
0.500 0.000 0.000 Ru
0.500 0.500 0.500 Ru
```

Diffraction record for Nd3SbRu. The X-ray powder pattern is theoretical, not measured: it uses a PBE-relaxed structure and Cu Kα X-rays.
Kinematic intensities with the Lorentz-polarization factor, no thermal factor.

Top 12 peaks for 10° ≤ 2θ ≤ 90°, in order of falling intensity:
| d/Å | I (rel.) |
| --- | --- |
| 2.700 | 100 |
| 2.657 | 75 |
| 2.849 | 53 |
| 2.373 | 44 |
| 3.664 | 40 |
| 2.544 | 28 |
| 1.664 | 22 |
| 1.414 | 22 |
| 3.222 | 18 |
| 2.875 | 17 |
| 1.640 | 16 |
| 1.366 | 15 |

Structural model:
```
Nd3SbRu
1.0
6.682 -5.645 0.000
6.682 5.645 0.000
0.000 0.000 7.847
Nd Sb Ru
12 4 4
direct
0.030 0.690 0.403 Nd
0.072 0.928 0.805 Nd
0.190 0.530 0.903 Nd
0.310 0.970 0.403 Nd
0.428 0.572 0.305 Nd
0.470 0.810 0.903 Nd
0.530 0.190 0.097 Nd
0.572 0.428 0.695 Nd
0.690 0.030 0.597 Nd
0.810 0.470 0.097 Nd
0.928 0.072 0.195 Nd
0.970 0.310 0.597 Nd
0.167 0.333 0.250 Sb
0.333 0.167 0.750 Sb
0.667 0.833 0.250 Sb
0.833 0.667 0.750 Sb
0.198 0.802 0.121 Ru
0.302 0.698 0.621 Ru
0.698 0.302 0.379 Ru
0.802 0.198 0.879 Ru
```

Diffraction record for NdSc5Ru6. The X-ray powder pattern is theoretical, not measured: it uses a PBE-relaxed structure and Cu Kα X-rays.
Kinematic intensities with the Lorentz-polarization factor, no thermal factor.

Top 12 peaks for 10° ≤ 2θ ≤ 90°, in order of falling intensity:
| d/Å | I (rel.) |
| --- | --- |
| 2.305 | 100 |
| 1.330 | 21 |
| 1.628 | 11 |
| 1.332 | 11 |
| 3.259 | 8 |
| 1.153 | 7 |
| 1.633 | 5 |
| 1.151 | 3 |
| 3.305 | 3 |
| 3.764 | 3 |
| 1.882 | 2 |
| 1.457 | 2 |

Structural model:
```
NdSc5Ru6
1.0
-2.302 3.265 6.909
2.302 -3.265 6.909
2.302 3.265 -6.909
Nd Sc Ru
1 5 6
direct
0.000 0.000 0.000 Nd
0.173 0.673 0.500 Sc
0.333 0.333 0.000 Sc
0.500 0.000 0.500 Sc
0.667 0.667 0.000 Sc
0.827 0.327 0.500 Sc
0.085 0.830 0.254 Ru
0.259 0.500 0.759 Ru
0.424 0.170 0.254 Ru
0.576 0.830 0.746 Ru
0.741 0.500 0.241 Ru
0.915 0.170 0.746 Ru
```

Diffraction record for Nd5RuSe4. The X-ray powder pattern is theoretical, not measured: it uses a PBE-relaxed structure and Cu Kα X-rays.
Kinematic intensities with the Lorentz-polarization factor, no thermal factor.

Top 12 peaks for 10° ≤ 2θ ≤ 90°, in order of falling intensity:
| d/Å | I (rel.) |
| --- | --- |
| 2.997 | 100 |
| 2.128 | 76 |
| 3.022 | 53 |
| 1.735 | 38 |
| 2.120 | 36 |
| 1.225 | 21 |
| 3.471 | 19 |
| 1.349 | 17 |
| 1.343 | 15 |
| 1.341 | 14 |
| 1.230 | 12 |
| 1.499 | 11 |

Structural model:
```
Nd5RuSe4
1.0
-4.739 4.739 3.022
4.739 -4.739 3.022
4.739 4.739 -3.022
Nd Ru Se
5 1 4
direct
0.000 0.000 0.000 Nd
0.221 0.406 0.627 Nd
0.406 0.779 0.185 Nd
0.594 0.221 0.815 Nd
0.779 0.594 0.373 Nd
0.500 0.500 0.000 Ru
0.094 0.695 0.789 Se
0.305 0.094 0.399 Se
0.695 0.906 0.601 Se
0.906 0.305 0.211 Se
```

Diffraction record for NdSi7Ru3. The X-ray powder pattern is theoretical, not measured: it uses a PBE-relaxed structure and Cu Kα X-rays.
Kinematic intensities with the Lorentz-polarization factor, no thermal factor.

Top 12 peaks for 10° ≤ 2θ ≤ 90°, in order of falling intensity:
| d/Å | I (rel.) |
| --- | --- |
| 3.330 | 100 |
| 2.526 | 62 |
| 2.214 | 58 |
| 1.933 | 44 |
| 1.844 | 36 |
| 2.247 | 36 |
| 1.338 | 29 |
| 5.545 | 25 |
| 2.355 | 23 |
| 1.331 | 22 |
| 2.773 | 20 |
| 1.417 | 19 |

Structural model:
```
NdSi7Ru3
1.0
3.835 2.214 6.715
-3.835 2.214 6.715
0.000 -4.428 6.715
Nd Si Ru
2 14 6
direct
0.000 0.000 0.000 Nd
0.500 0.500 0.500 Nd
0.060 0.853 0.669 Si
0.147 0.331 0.940 Si
0.169 0.353 0.560 Si
0.250 0.250 0.250 Si
0.331 0.940 0.147 Si
0.353 0.560 0.169 Si
0.440 0.831 0.647 Si
0.560 0.169 0.353 Si
0.647 0.440 0.831 Si
0.669 0.060 0.853 Si
0.750 0.750 0.750 Si
0.831 0.647 0.440 Si
0.853 0.669 0.060 Si
0.940 0.147 0.331 Si
0.078 0.750 0.422 Ru
0.250 0.578 0.922 Ru
0.422 0.078 0.750 Ru
0.578 0.922 0.250 Ru
0.750 0.422 0.078 Ru
0.922 0.250 0.578 Ru
```

Diffraction record for Nd20Si9Ru3. The X-ray powder pattern is theoretical, not measured: it uses a PBE-relaxed structure and Cu Kα X-rays.
Kinematic intensities with the Lorentz-polarization factor, no thermal factor.

Top 12 peaks for 10° ≤ 2θ ≤ 90°, in order of falling intensity:
| d/Å | I (rel.) |
| --- | --- |
| 2.800 | 100 |
| 2.775 | 80 |
| 2.587 | 68 |
| 2.469 | 38 |
| 2.495 | 33 |
| 3.409 | 25 |
| 1.765 | 22 |
| 3.424 | 22 |
| 3.379 | 22 |
| 2.293 | 21 |
| 1.719 | 20 |
| 1.752 | 19 |

Structural model:
```
Nd20Si9Ru3
1.0
13.758 0.000 0.000
0.000 5.502 5.600
0.000 -5.502 5.600
Nd Si Ru
20 9 3
direct
0.000 0.242 0.758 Nd
0.000 0.758 0.242 Nd
0.145 0.075 0.075 Nd
0.146 0.582 0.920 Nd
0.146 0.920 0.582 Nd
0.149 0.425 0.425 Nd
0.354 0.575 0.575 Nd
0.358 0.931 0.931 Nd
0.361 0.085 0.416 Nd
0.361 0.416 0.085 Nd
0.500 0.254 0.747 Nd
0.500 0.747 0.254 Nd
0.639 0.085 0.416 Nd
0.639 0.416 0.085 Nd
0.642 0.931 0.931 Nd
0.646 0.575 0.575 Nd
0.851 0.425 0.425 Nd
0.854 0.582 0.920 Nd
0.854 0.920 0.582 Nd
0.855 0.075 0.075 Nd
0.000 0.139 0.369 Si
0.000 0.369 0.139 Si
0.000 0.630 0.630 Si
0.249 0.252 0.751 Si
0.249 0.751 0.252 Si
0.500 0.637 0.866 Si
0.500 0.866 0.637 Si
0.751 0.252 0.751 Si
0.751 0.751 0.252 Si
0.000 0.868 0.868 Ru
0.500 0.123 0.123 Ru
0.500 0.384 0.384 Ru
```

Diffraction record for NdTaSi2Ru. The X-ray powder pattern is theoretical, not measured: it uses a PBE-relaxed structure and Cu Kα X-rays.
Kinematic intensities with the Lorentz-polarization factor, no thermal factor.

Top 12 peaks for 10° ≤ 2θ ≤ 90°, in order of falling intensity:
| d/Å | I (rel.) |
| --- | --- |
| 2.554 | 100 |
| 2.033 | 31 |
| 2.780 | 23 |
| 2.739 | 23 |
| 3.819 | 23 |
| 1.253 | 22 |
| 1.641 | 19 |
| 1.558 | 18 |
| 5.560 | 15 |
| 1.951 | 11 |
| 1.437 | 10 |
| 1.632 | 10 |

Structural model:
```
NdTaSi2Ru
1.0
4.066 0.000 0.000
0.000 4.066 0.000
0.000 0.000 11.120
Nd Ta Si Ru
2 2 4 2
direct
0.000 0.000 0.000 Nd
0.500 0.500 0.500 Nd
0.000 0.500 0.250 Ta
0.500 0.000 0.750 Ta
0.000 0.000 0.389 Si
0.000 0.000 0.611 Si
0.500 0.500 0.111 Si
0.500 0.500 0.889 Si
0.000 0.500 0.750 Ru
0.500 0.000 0.250 Ru
```